Entry 1:
For Rb3LuCl6, a structure optimized by DFT (PBE) gives the calculated XRD peak list in this record (Cu Kα X-rays).

```
data_Rb3LuCl6
_chemical_formula_sum 'Rb24 Lu8 Cl48'
_symmetry_space_group_name_H-M 'C 1 2/c 1'
_symmetry_Int_Tables_number 15
_cell_length_a 25.8112
_cell_length_b 8.0232
_cell_length_c 13.0609
_cell_angle_alpha 90.00
_cell_angle_beta 99.64
_cell_angle_gamma 90.00
loop_
_symmetry_equiv_pos_as_xyz
'x,y,z'
'-x,-y,-z'
'-x,y,-z+1/2'
'x,-y,z+1/2'
'x+1/2,y+1/2,z'
'-x+1/2,-y+1/2,-z'
'-x+1/2,y+1/2,-z+1/2'
'x+1/2,-y+1/2,z+1/2'
loop_
_atom_site_label
_atom_site_fract_x
_atom_site_fract_y
_atom_site_fract_z
_atom_site_occupancy
Rb1 0.0542 0.2292 0.4430 1
Rb2 0.1531 0.3180 0.1469 1
Rb3 0.1644 0.1886 0.8072 1
Lu1 0.0000 0.2027 0.7500 1
Lu2 0.2500 0.2500 0.5000 1
Cl1 0.0550 0.2079 0.9341 1
Cl2 0.0600 0.4214 0.6826 1
Cl3 0.0607 0.0366 0.2043 1
Cl4 0.1710 0.4417 0.4256 1
Cl5 0.1818 0.0292 0.5344 1
Cl6 0.2502 0.1200 0.3167 1
```

Main lines, sorted by position (10° ≤ 2θ ≤ 90°):
two_theta, I/Imax
13.76, 51
15.95, 33
22.16, 30
22.72, 75
23.10, 24
23.24, 100
30.66, 23
32.23, 77
33.23, 29
47.52, 25

Entry 2:
For MgCl4, a structure optimized by DFT (PBE) gives the calculated XRD peak list in this record (Cu Kα X-rays).

```
data_MgCl4
_chemical_formula_sum 'Mg2 Cl8'
_symmetry_space_group_name_H-M 'C 1 2/m 1'
_symmetry_Int_Tables_number 12
_cell_length_a 6.4870
_cell_length_b 3.7476
_cell_length_c 11.3938
_cell_angle_alpha 90.00
_cell_angle_beta 91.02
_cell_angle_gamma 90.00
loop_
_symmetry_equiv_pos_as_xyz
'x,y,z'
'-x,-y,-z'
'-x,y,-z'
'x,-y,z'
'x+1/2,y+1/2,z'
'-x+1/2,-y+1/2,-z'
'-x+1/2,y+1/2,-z'
'x+1/2,-y+1/2,z'
loop_
_atom_site_label
_atom_site_fract_x
_atom_site_fract_y
_atom_site_fract_z
_atom_site_occupancy
Mg1 0.0000 0.0000 0.0000 1
Cl1 0.0506 0.5000 0.4180 1
Cl2 0.1705 0.5000 0.1180 1
```

Main lines, sorted by position (10° ≤ 2θ ≤ 90°):
two_theta, I/Imax
15.56, 59
27.49, 41
28.70, 100
31.45, 23
36.10, 25
36.59, 36
42.02, 16
48.59, 18
49.44, 18
55.89, 17

Entry 3:
For MgCl, a structure optimized by DFT (PBE) gives the calculated XRD peak list in this record (Cu Kα X-rays).

```
data_MgCl
_chemical_formula_sum 'Mg8 Cl8'
_symmetry_space_group_name_H-M 'P 21 21 21'
_symmetry_Int_Tables_number 19
_cell_length_a 5.6697
_cell_length_b 6.6685
_cell_length_c 11.6189
_cell_angle_alpha 90.00
_cell_angle_beta 90.00
_cell_angle_gamma 90.00
loop_
_symmetry_equiv_pos_as_xyz
'x,y,z'
'-x+1/2,-y,z+1/2'
'x+1/2,-y+1/2,-z'
'-x,y+1/2,-z+1/2'
loop_
_atom_site_label
_atom_site_fract_x
_atom_site_fract_y
_atom_site_fract_z
_atom_site_occupancy
Mg1 0.0642 0.0158 0.3559 1
Mg2 0.1121 0.6471 0.5046 1
Cl1 0.0011 0.8872 0.1536 1
Cl2 0.0092 0.9419 0.8354 1
```

Main lines, sorted by position (10° ≤ 2θ ≤ 90°):
two_theta, I/Imax
20.27, 52
21.95, 97
26.62, 100
26.74, 37
30.98, 43
31.56, 80
34.83, 51
41.78, 44
44.32, 53
55.89, 34

Entry 4:
For MgCl5, a structure optimized by DFT (PBE) gives the calculated XRD peak list in this record (Cu Kα X-rays).

```
data_MgCl5
_chemical_formula_sum 'Mg1 Cl5'
_symmetry_space_group_name_H-M 'P 1 m 1'
_symmetry_Int_Tables_number 6
_cell_length_a 3.7256
_cell_length_b 5.0146
_cell_length_c 9.6268
_cell_angle_alpha 90.00
_cell_angle_beta 98.90
_cell_angle_gamma 90.00
loop_
_symmetry_equiv_pos_as_xyz
'x,y,z'
'x,-y,z'
loop_
_atom_site_label
_atom_site_fract_x
_atom_site_fract_y
_atom_site_fract_z
_atom_site_occupancy
Mg1 0.0000 0.0000 0.0000 1
Cl1 0.4292 0.0000 0.8218 1
Cl2 0.4758 0.5000 0.6006 1
Cl3 0.5233 0.5000 0.3987 1
Cl4 0.5701 0.0000 0.1772 1
Cl5 0.9989 0.5000 0.9981 1
```

Main lines, sorted by position (10° ≤ 2θ ≤ 90°):
two_theta, I/Imax
20.02, 100
24.18, 28
25.82, 48
27.30, 54
30.42, 71
32.72, 23
33.44, 42
35.81, 66
41.92, 28
49.51, 27

Entry 5:
For MgCl, a structure optimized by DFT (PBE) gives the calculated XRD peak list in this record (Cu Kα X-rays).

```
data_MgCl
_chemical_formula_sum 'Mg8 Cl8'
_symmetry_space_group_name_H-M 'P 4/m'
_symmetry_Int_Tables_number 83
_cell_length_a 12.1639
_cell_length_b 12.1639
_cell_length_c 3.5085
_cell_angle_alpha 90.00
_cell_angle_beta 90.00
_cell_angle_gamma 90.00
loop_
_symmetry_equiv_pos_as_xyz
'x,y,z'
'-x,-y,-z'
'-y,x,z'
'y,-x,-z'
'-x,-y,z'
'x,y,-z'
'y,-x,z'
'-y,x,-z'
loop_
_atom_site_label
_atom_site_fract_x
_atom_site_fract_y
_atom_site_fract_z
_atom_site_occupancy
Mg1 0.1618 0.3075 0.0000 1
Mg2 0.1926 0.6626 0.5000 1
Cl1 0.0119 0.2994 0.5000 1
Cl2 0.1980 0.5123 0.0000 1
```

Main lines, sorted by position (10° ≤ 2θ ≤ 90°):
two_theta, I/Imax
10.28, 100
14.56, 24
20.65, 32
23.12, 56
30.31, 53
33.78, 44
37.71, 27
39.93, 29
45.36, 28
47.90, 33

Entry 6:
For MgCl6, a structure optimized by DFT (PBE) gives the calculated XRD peak list in this record (Cu Kα X-rays).

```
data_MgCl6
_chemical_formula_sum 'Mg2 Cl12'
_symmetry_space_group_name_H-M 'C m m m'
_symmetry_Int_Tables_number 65
_symmetry_space_group_name_Hall '-C 2 2'
_cell_length_a 9.1736
_cell_length_b 16.2636
_cell_length_c 8.4432
_cell_angle_alpha 90.00
_cell_angle_beta 90.00
_cell_angle_gamma 90.00
loop_
_atom_site_label
_atom_site_fract_x
_atom_site_fract_y
_atom_site_fract_z
_atom_site_occupancy
Mg1 0.0000 0.0000 0.0000 1
Cl1 0.0000 0.0000 0.2598 1
Cl2 0.1093 0.1955 0.0000 1
```

Main lines, sorted by position (10° ≤ 2θ ≤ 90°):
two_theta, I/Imax
10.48, 85
11.07, 100
15.13, 23
15.27, 18
21.76, 12
23.75, 22
28.51, 21
29.13, 21
31.03, 14
52.66, 13

Entry 7:
For Mg2MnCl, a structure optimized by DFT (PBE) gives the calculated XRD peak list in this record (Cu Kα X-rays).

```
data_Mg2MnCl
_chemical_formula_sum 'Mg2 Mn1 Cl1'
_symmetry_space_group_name_H-M 'P m m m'
_symmetry_Int_Tables_number 47
_cell_length_a 3.1518
_cell_length_b 3.2807
_cell_length_c 7.7746
_cell_angle_alpha 90.00
_cell_angle_beta 90.00
_cell_angle_gamma 90.00
loop_
_symmetry_equiv_pos_as_xyz
'x,y,z'
'-x,-y,-z'
'-x,-y,z'
'x,y,-z'
'x,-y,-z'
'-x,y,z'
'-x,y,-z'
'x,-y,z'
loop_
_atom_site_label
_atom_site_fract_x
_atom_site_fract_y
_atom_site_fract_z
_atom_site_occupancy
Mg1 0.0000 0.0000 0.2282 1
Mn1 0.5000 0.5000 0.0000 1
Cl1 0.5000 0.0000 0.5000 1
```

Main lines, sorted by position (10° ≤ 2θ ≤ 90°):
two_theta, I/Imax
11.38, 29
22.88, 17
29.55, 67
35.82, 27
36.71, 100
39.65, 21
41.39, 67
44.55, 35
46.74, 22
68.90, 27

Entry 8:
For Mg5MnCl12, a structure optimized by DFT (PBE) gives the calculated XRD peak list in this record (Cu Kα X-rays).

```
data_Mg5MnCl12
_chemical_formula_sum 'Mg10 Mn2 Cl24'
_symmetry_space_group_name_H-M 'C 1 2/m 1'
_symmetry_Int_Tables_number 12
_cell_length_a 6.3668
_cell_length_b 11.0323
_cell_length_c 13.3032
_cell_angle_alpha 90.00
_cell_angle_beta 90.05
_cell_angle_gamma 90.00
loop_
_symmetry_equiv_pos_as_xyz
'x,y,z'
'-x,-y,-z'
'-x,y,-z'
'x,-y,z'
'x+1/2,y+1/2,z'
'-x+1/2,-y+1/2,-z'
'-x+1/2,y+1/2,-z'
'x+1/2,-y+1/2,z'
loop_
_atom_site_label
_atom_site_fract_x
_atom_site_fract_y
_atom_site_fract_z
_atom_site_occupancy
Mg1 0.0000 0.0000 0.0000 1
Mg2 0.0000 0.1666 0.5000 1
Mg3 0.0000 0.3333 0.0000 1
Mn1 0.0000 0.5000 0.5000 1
Cl1 0.1638 0.0000 0.6039 1
Cl2 0.1664 0.1667 0.8969 1
Cl3 0.1665 0.5000 0.8969 1
Cl4 0.1682 0.3319 0.6038 1
```

Main lines, sorted by position (10° ≤ 2θ ≤ 90°):
two_theta, I/Imax
13.31, 100
28.84, 17
31.14, 72
34.68, 49
39.17, 27
44.37, 28
49.58, 11
50.11, 47
61.93, 10
64.94, 10

Entry 9:
For NaMg4Cl8, a structure optimized by DFT (PBE) gives the calculated XRD peak list in this record (Cu Kα X-rays).

```
data_NaMg4Cl8
_chemical_formula_sum 'Na4 Mg16 Cl32'
_symmetry_space_group_name_H-M 'F -4 3 m'
_symmetry_Int_Tables_number 216
_symmetry_space_group_name_Hall 'F -4 2 3'
_cell_length_a 11.0516
_cell_length_b 11.0516
_cell_length_c 11.0516
_cell_angle_alpha 90.00
_cell_angle_beta 90.00
_cell_angle_gamma 90.00
loop_
_atom_site_label
_atom_site_fract_x
_atom_site_fract_y
_atom_site_fract_z
_atom_site_occupancy
Na1 0.0000 0.0000 0.0000 1
Mg1 0.1208 0.1208 0.6208 1
Cl1 0.1116 0.1116 0.3884 1
Cl2 0.1407 0.1407 0.8593 1
```

Main lines, sorted by position (10° ≤ 2θ ≤ 90°):
two_theta, I/Imax
13.88, 56
26.75, 18
27.97, 52
32.40, 100
42.50, 37
46.48, 77
57.80, 17
59.76, 13
77.21, 16
86.23, 16

Entry 10:
For Na3MgCl4, a structure optimized by DFT (PBE) gives the calculated XRD peak list in this record (Cu Kα X-rays).

```
data_Na3MgCl4
_chemical_formula_sum 'Na6 Mg2 Cl8'
_symmetry_space_group_name_H-M 'I 4/m m m'
_symmetry_Int_Tables_number 139
_symmetry_space_group_name_Hall '-I 4 2'
_cell_length_a 5.7283
_cell_length_b 5.7283
_cell_length_c 11.6253
_cell_angle_alpha 90.00
_cell_angle_beta 90.00
_cell_angle_gamma 90.00
loop_
_atom_site_label
_atom_site_fract_x
_atom_site_fract_y
_atom_site_fract_z
_atom_site_occupancy
Na1 0.0000 0.0000 0.0000 1
Na2 0.0000 0.5000 0.2500 1
Mg1 0.0000 0.0000 0.5000 1
Cl1 0.0000 0.0000 0.2450 1
Cl2 0.0000 0.5000 0.0000 1
```

Main lines, sorted by position (10° ≤ 2θ ≤ 90°):
two_theta, I/Imax
26.83, 12
30.76, 52
31.23, 100
44.41, 68
44.75, 33
55.29, 33
73.01, 13
73.76, 13
74.01, 13
82.25, 19